The following is a theoretical powder X-ray diffraction pattern of RbYFeO4. It was derived from DFT lattice parameters and positions (GGA+U), using copper Kα.
Intensities are scaled so that the largest is 1000.

Structure:
Unit cell a=5.898 b=6.052 c=7.599 alpha=90.00 beta=109.04 gamma=90.00
Space group P2_1/m (No. 11)
One atom of each set of equivalent atoms:
Rb 0.202 0.250 0.436 (multiplicity 2)
Y 0.319 0.250 0.964 (multiplicity 2)
Fe 0.235 0.750 0.161 (multiplicity 2)
O 0.016 0.750 0.941 (multiplicity 2)
O 0.031 0.750 0.291 (multiplicity 2)
O 0.459 0.524 0.173 (multiplicity 4)

Largest 8 diffraction maxima, by angle, 2θ = 10–80°:
| d_spacing | 2θ/deg | I/Imax | hkl |
| --- | --- | --- | --- |
| 7.184 | 12.3 | 489 | 0 0 1 |
| 4.101 | 21.7 | 508 | 1 1 0 |
| 3.839 | 23.2 | 415 | 1 0 1 |
| 3.092 | 28.9 | 1000 | 1 1 -2 |
| 3.026 | 29.5 | 674 | 0 2 0 |
| 2.647 | 33.9 | 334 | 2 1 -1 |
| 2.437 | 36.9 | 355 | 2 1 -2 |
| 2.428 | 37.0 | 392 | 1 1 2 |